The following is a calculated powder X-ray diffraction pattern of Rb2MnO4. It was derived from DFT lattice parameters and positions (GGA+U), using λ = 1.5418 Å (Cu Kα).
Intensities are scaled so that the largest is 100.

Crystal structure
```
28
Lattice="8.146 0.000 0.000 0.000 6.165 0.000 0.000 0.000 10.940" Properties=species:S:1:pos:R:3 pbc="T T T"
Rb 0.107 1.541 2.145
Rb 1.365 4.624 4.507
Rb 2.708 1.541 9.977
Rb 3.966 4.624 7.615
Rb 4.180 1.541 3.326
Rb 5.438 4.624 0.963
Rb 6.782 1.541 6.433
Rb 8.039 4.624 8.796
Mn 1.894 4.624 0.869
Mn 2.179 1.541 6.339
Mn 5.967 4.624 4.601
Mn 6.253 1.541 10.071
O 0.235 4.624 0.908
O 1.575 0.190 7.104
O 1.575 2.893 7.104
O 1.677 1.541 4.746
O 2.396 4.624 10.216
O 2.498 3.272 1.634
O 2.498 5.975 1.634
O 3.838 1.541 6.378
O 4.308 4.624 4.562
O 5.649 0.190 9.306
O 5.649 2.893 9.306
O 5.751 1.541 0.724
O 6.469 4.624 6.194
O 6.571 3.272 3.836
O 6.571 5.975 3.836
O 7.911 1.541 10.032
```

Largest 10 diffraction maxima, low angle first, 2θ = 10–90°:
24.34 deg, rel. 40, (1 1 2)
27.30 deg, rel. 37, (2 0 2)
27.48 deg, rel. 86, (2 1 1)
28.44 deg, rel. 100, (0 1 3)
28.97 deg, rel. 70, (0 2 0)
34.02 deg, rel. 27, (3 0 1)
40.22 deg, rel. 32, (2 2 2)
44.46 deg, rel. 20, (4 0 0)
49.56 deg, rel. 20, (3 1 4)
60.04 deg, rel. 22, (0 4 0)